# K3Cu8S6
Theoretical X-ray diffraction stick pattern, copper Kα. Input: a structure optimized by DFT (PBE).

Atomic structure:
Lattice parameters (Å, degrees): 17.3992 3.8594 9.9890 90.00 107.24 90.00
Space group C2/m (No. 12)
Symmetry-distinct sites (fractional):
K (0.0000, 0.0000, 0.0000) [2 per cell]
K (0.1948, 0.0000, 0.2918) [4 per cell]
Cu (0.0120, 0.0000, 0.6396) [4 per cell]
Cu (0.0898, 0.5000, 0.5392) [4 per cell]
Cu (0.0899, 0.5000, 0.7989) [4 per cell]
Cu (0.1958, 0.0000, 0.9150) [4 per cell]
S (0.0467, 0.5000, 0.3008) [4 per cell]
S (0.1511, 0.0000, 0.6566) [4 per cell]
S (0.1609, 0.5000, 0.0232) [4 per cell]

Peak list (8 most intense, 2θ = 10–80°, by angle)
2θ/deg	intensity	index
10.6	16	2 0 0
11.9	100	2 0 -1
31.1	18	3 1 -2
35.7	43	5 1 0
38.3	24	1 1 3
43.3	16	7 1 -1
43.5	22	1 1 -4
47.1	18	0 2 0